This entry pairs a crystal structure of YBe4CuPt2 with its simulated PXRD pattern. Radiation: a wavelength of 1.5418 Å. Structure: a PBE-relaxed structure.
Intensities are scaled so that the largest is 100.

The 10 most intense peaks (2θ = 10–80°), in order of falling intensity:
2theta, d (Å), I/Imax
30.3, 2.954, 100
46.4, 1.958, 41
40.1, 2.249, 38
27.3, 3.265, 23
56.4, 1.632, 17
32.3, 2.772, 14
75.9, 1.254, 14
11.0, 8.012, 13
58.4, 1.579, 13
49.6, 1.837, 12

Crystal structure
```
YBe4CuPt2
1.0
1.9585 1.1307 8.0124
-1.9585 1.1307 8.0124
0.0000 -2.2614 8.0124
Y Be Cu Pt
1 4 1 2
direct
0.0000 0.0000 0.0000
0.1318 0.1318 0.1318
0.4085 0.4085 0.4085
0.5915 0.5915 0.5915
0.8682 0.8682 0.8682
0.5000 0.5000 0.5000
0.2346 0.2346 0.2346
0.7654 0.7654 0.7654
```

---

This entry pairs a crystal structure of Nb2Mo3W6 with its simulated PXRD pattern. Radiation: a wavelength of 1.5418 Å. Structure: a PBE-relaxed structure.
Intensities are scaled so that the largest is 100.

The 10 most intense peaks (2θ = 10–80°), in order of falling intensity:
2theta, d (Å), I/Imax
39.9, 2.262, 100
72.3, 1.306, 23
57.6, 1.600, 17
72.4, 1.305, 12
12.3, 7.189, 2
21.7, 4.089, 2
25.1, 3.554, 2
18.5, 4.793, 2
24.8, 3.594, 1
45.7, 1.987, 1

Crystal structure
```
Nb2Mo3W6
1.0
14.4075 -2.2603 0.0000
14.4075 2.2603 0.0000
-0.1782 0.0000 2.7648
Nb Mo W
2 3 6
direct
0.0467 0.0467 0.3551
0.9533 0.9533 0.6449
0.3172 0.3172 0.5468
0.5000 0.5000 0.0000
0.6828 0.6828 0.4532
0.1380 0.1380 0.0855
0.2275 0.2275 0.8149
0.4070 0.4070 0.2755
0.5930 0.5930 0.7245
0.7725 0.7725 0.1851
0.8620 0.8620 0.9145
```

---

This entry pairs a crystal structure of CaLa2Nd7 with its simulated PXRD pattern. Radiation: a wavelength of 1.5418 Å. Structure: a PBE-relaxed structure.
Intensities are scaled so that the largest is 100.

The 10 most intense peaks (2θ = 10–80°), in order of falling intensity:
2theta, d (Å), I/Imax
32.7, 2.737, 100
15.8, 5.610, 94
29.3, 3.051, 83
31.9, 2.805, 69
34.6, 2.593, 64
43.8, 2.065, 55
26.6, 3.356, 48
10.6, 8.377, 32
57.4, 1.606, 29
61.0, 1.518, 29

Crystal structure
```
CaLa2Nd7
1.0
4.4538 -8.3769 0.0000
4.4538 8.3769 0.0000
0.0000 0.0000 5.6100
Ca La Nd
1 2 7
direct
0.0000 0.0000 0.0000
0.2975 0.7025 0.5000
0.7025 0.2975 0.5000
0.0679 0.2991 0.5000
0.2312 0.7688 0.0000
0.2991 0.0679 0.5000
0.5000 0.5000 0.5000
0.7009 0.9321 0.5000
0.7688 0.2312 0.0000
0.9321 0.7009 0.5000
```

---

This entry pairs a crystal structure of Sr2ErMg12Hg3 with its simulated PXRD pattern. Radiation: a wavelength of 1.5418 Å. Structure: a PBE-relaxed structure.
Intensities are scaled so that the largest is 100.

The 10 most intense peaks (2θ = 10–80°), in order of falling intensity:
2theta, d (Å), I/Imax
24.2, 3.672, 100
23.4, 3.806, 86
40.5, 2.226, 86
12.1, 7.344, 62
27.4, 3.250, 57
22.8, 3.896, 53
36.0, 2.496, 50
11.0, 8.068, 47
28.3, 3.155, 46
37.8, 2.380, 43

Crystal structure
```
Sr2ErMg12Hg3
1.0
4.4499 2.5691 8.0677
-4.4499 2.5691 8.0677
0.0000 -5.1383 8.0677
Sr Er Mg Hg
2 1 12 3
direct
0.0828 0.0828 0.0828
0.9172 0.9172 0.9172
0.5000 0.5000 0.5000
0.0487 0.6711 0.6711
0.2778 0.2778 0.6348
0.2778 0.6348 0.2778
0.3289 0.3289 0.9513
0.3289 0.9513 0.3289
0.3652 0.7222 0.7222
0.6348 0.2778 0.2778
0.6711 0.0487 0.6711
0.6711 0.6711 0.0487
0.7222 0.3652 0.7222
0.7222 0.7222 0.3652
0.9513 0.3289 0.3289
0.0000 0.5000 0.5000
0.5000 0.0000 0.5000
0.5000 0.5000 0.0000
```

---

This entry pairs a crystal structure of KAlNi4 with its simulated PXRD pattern. Radiation: a wavelength of 1.5418 Å. Structure: a PBE-relaxed structure.
Intensities are scaled so that the largest is 100.

The 10 most intense peaks (2θ = 10–80°), in order of falling intensity:
2theta, d (Å), I/Imax
42.7, 2.118, 100
44.7, 2.028, 63
21.9, 4.055, 42
69.5, 1.352, 28
76.8, 1.242, 26
52.1, 1.756, 16
36.2, 2.483, 12
57.2, 1.611, 9
65.1, 1.434, 4
25.4, 3.512, 1

Crystal structure
```
KAlNi4
1.0
0.0000 3.5120 3.5120
3.5120 0.0000 3.5120
3.5120 3.5120 0.0000
K Al Ni
1 1 4
direct
0.0000 0.0000 0.0000
0.2500 0.2500 0.2500
0.1294 0.6235 0.6235
0.6235 0.1294 0.6235
0.6235 0.6235 0.1294
0.6235 0.6235 0.6235
```

---

This entry pairs a crystal structure of HoSc2Te3 with its simulated PXRD pattern. Radiation: a wavelength of 1.5418 Å. Structure: a PBE-relaxed structure.
Intensities are scaled so that the largest is 100.

The 10 most intense peaks (2θ = 10–80°), in order of falling intensity:
2theta, d (Å), I/Imax
27.7, 3.219, 100
35.2, 2.547, 98
43.6, 2.077, 54
68.9, 1.362, 27
45.4, 2.000, 26
57.2, 1.610, 23
74.6, 1.272, 21
16.4, 5.399, 18
52.4, 1.745, 16
21.8, 4.086, 14

Crystal structure
```
HoSc2Te3
1.0
3.5967 2.0765 7.2170
-3.5967 2.0765 7.2170
0.0000 -4.1531 7.2170
Ho Sc Te
2 4 6
direct
0.0000 0.0000 0.0000
0.5000 0.5000 0.5000
0.1647 0.1647 0.1647
0.3353 0.3353 0.3353
0.6647 0.6647 0.6647
0.8353 0.8353 0.8353
0.0735 0.7500 0.4265
0.2500 0.5735 0.9265
0.4265 0.0735 0.7500
0.5735 0.9265 0.2500
0.7500 0.4265 0.0735
0.9265 0.2500 0.5735
```

---

This entry pairs a crystal structure of In2SiO6 with its simulated PXRD pattern. Radiation: a wavelength of 1.5418 Å. Structure: a PBE-relaxed structure.
Intensities are scaled so that the largest is 100.

The 10 most intense peaks (2θ = 10–80°), in order of falling intensity:
2theta, d (Å), I/Imax
26.6, 3.346, 100
34.3, 2.616, 74
52.1, 1.755, 62
21.0, 4.228, 22
66.3, 1.409, 19
38.0, 2.366, 18
54.9, 1.673, 16
65.7, 1.421, 14
32.8, 2.727, 13
62.0, 1.496, 13

Crystal structure
```
In2SiO6
1.0
4.7315 0.0000 0.0000
0.0000 4.7315 0.0000
0.0000 0.0000 9.4179
In Si O
4 2 12
direct
0.0000 0.0000 0.1682
0.0000 0.0000 0.8318
0.5000 0.5000 0.3318
0.5000 0.5000 0.6682
0.0000 0.0000 0.5000
0.5000 0.5000 0.0000
0.1806 0.1806 0.3598
0.1806 0.1806 0.6402
0.2320 0.2320 0.0000
0.2680 0.7320 0.5000
0.3194 0.6806 0.1402
0.3194 0.6806 0.8598
0.6806 0.3194 0.1402
0.6806 0.3194 0.8598
0.7320 0.2680 0.5000
0.7680 0.7680 0.0000
0.8194 0.8194 0.3598
0.8194 0.8194 0.6402
```

---

This entry pairs a crystal structure of Cd5O4 with its simulated PXRD pattern. Radiation: a wavelength of 1.5418 Å. Structure: a PBE-relaxed structure.
Intensities are scaled so that the largest is 100.

The 10 most intense peaks (2θ = 10–80°), in order of falling intensity:
2theta, d (Å), I/Imax
32.9, 2.724, 100
30.6, 2.925, 47
55.8, 1.647, 29
43.8, 2.069, 20
60.1, 1.539, 14
43.2, 2.093, 10
50.4, 1.810, 10
68.9, 1.362, 10
47.7, 1.907, 9
27.3, 3.271, 9

Crystal structure
```
Cd5O4
1.0
-4.6254 4.6254 1.8097
4.6254 -4.6254 1.8097
4.6254 4.6254 -1.8097
Cd O
5 4
direct
0.0000 0.0000 0.0000
0.2331 0.5792 0.8123
0.4208 0.2331 0.6539
0.5792 0.7669 0.3461
0.7669 0.4208 0.1877
0.0671 0.7469 0.8140
0.2531 0.0671 0.3201
0.7469 0.9329 0.6799
0.9329 0.2531 0.1860
```

---

This entry pairs a crystal structure of CsRb2PaF8 with its simulated PXRD pattern. Radiation: a wavelength of 1.5418 Å. Structure: a PBE-relaxed structure.
Intensities are scaled so that the largest is 100.

The 10 most intense peaks (2θ = 10–80°), in order of falling intensity:
2theta, d (Å), I/Imax
24.4, 3.655, 100
40.2, 2.243, 38
15.7, 5.652, 31
47.8, 1.903, 31
40.5, 2.229, 19
28.3, 3.152, 18
47.3, 1.921, 16
64.0, 1.455, 15
73.4, 1.289, 10
49.9, 1.827, 10

Crystal structure
```
CsRb2PaF8
1.0
-3.1517 3.1517 6.3857
3.1517 -3.1517 6.3857
3.1517 3.1517 -6.3857
Cs Rb Pa F
1 2 1 8
direct
0.0000 0.0000 0.0000
0.2500 0.7500 0.5000
0.5000 0.5000 0.0000
0.7500 0.2500 0.5000
0.0581 0.1488 0.5049
0.0581 0.5532 0.9093
0.4468 0.3561 0.5049
0.4468 0.9419 0.0907
0.6439 0.1488 0.0907
0.6439 0.5532 0.4951
0.8512 0.3561 0.9093
0.8512 0.9419 0.4951
```

---

This entry pairs a crystal structure of Cu2TcRu with its simulated PXRD pattern. Radiation: a wavelength of 1.5418 Å. Structure: a PBE-relaxed structure.
Intensities are scaled so that the largest is 100.

The 10 most intense peaks (2θ = 10–80°), in order of falling intensity:
2theta, d (Å), I/Imax
41.7, 2.165, 100
50.5, 1.806, 28
44.4, 2.040, 21
69.5, 1.352, 20
79.9, 1.200, 14
74.3, 1.277, 8
21.8, 4.079, 5
35.1, 2.554, 3
55.7, 1.651, 2
57.9, 1.594, 2

Crystal structure
```
Cu2TcRu
1.0
-1.8060 1.8060 4.0791
1.8060 -1.8060 4.0791
1.8060 1.8060 -4.0791
Cu Tc Ru
2 1 1
direct
0.2500 0.7500 0.5000
0.7500 0.2500 0.5000
0.0000 0.0000 0.0000
0.5000 0.5000 0.0000
```

---

This entry pairs a crystal structure of HoSi6Ir3 with its simulated PXRD pattern. Radiation: a wavelength of 1.5418 Å. Structure: a PBE-relaxed structure.
Intensities are scaled so that the largest is 100.

The 10 most intense peaks (2θ = 10–80°), in order of falling intensity:
2theta, d (Å), I/Imax
28.4, 3.138, 100
25.3, 3.523, 79
41.2, 2.192, 78
46.5, 1.952, 60
32.0, 2.794, 58
33.8, 2.653, 57
41.3, 2.186, 48
46.6, 1.947, 45
25.8, 3.455, 43
24.4, 3.654, 29

Crystal structure
```
HoSi6Ir3
1.0
8.0201 0.0000 0.0000
0.0000 3.8943 0.0000
-3.9639 0.0000 10.5696
Ho Si Ir
2 12 6
direct
0.0728 0.2500 0.3006
0.9272 0.7500 0.6994
0.0170 0.2500 0.9201
0.1084 0.7500 0.4898
0.2977 0.7500 0.2101
0.3020 0.7500 0.7838
0.3934 0.2500 0.0724
0.4257 0.2500 0.5254
0.5743 0.7500 0.4746
0.6066 0.7500 0.9276
0.6980 0.2500 0.2162
0.7023 0.2500 0.7899
0.8916 0.2500 0.5102
0.9830 0.7500 0.0799
0.2140 0.7500 0.9734
0.2187 0.2500 0.6242
0.4647 0.2500 0.3204
0.5353 0.7500 0.6796
0.7813 0.7500 0.3758
0.7860 0.2500 0.0266
```

---

This entry pairs a crystal structure of KCo2CuCl8 with its simulated PXRD pattern. Radiation: a wavelength of 1.5418 Å. Structure: a PBE-relaxed structure.
Intensities are scaled so that the largest is 100.

The 10 most intense peaks (2θ = 10–80°), in order of falling intensity:
2theta, d (Å), I/Imax
20.9, 4.254, 100
30.3, 2.952, 52
49.2, 1.852, 50
50.7, 1.799, 44
34.8, 2.581, 42
28.6, 3.116, 37
29.1, 3.071, 26
35.7, 2.514, 22
46.4, 1.957, 22
30.7, 2.910, 18

Crystal structure
```
KCo2CuCl8
1.0
3.1163 1.7992 9.2134
-3.1163 1.7992 9.2134
0.0000 -3.5984 9.2134
K Co Cu Cl
1 2 1 8
direct
0.0000 0.0000 0.0000
0.2430 0.2430 0.2430
0.7570 0.7570 0.7570
0.5000 0.5000 0.5000
0.1248 0.4494 0.7673
0.2327 0.8752 0.5506
0.3220 0.3220 0.3220
0.4494 0.7673 0.1248
0.5506 0.2327 0.8752
0.6780 0.6780 0.6780
0.7673 0.1248 0.4494
0.8752 0.5506 0.2327
```

---

This entry pairs a crystal structure of DyVFe with its simulated PXRD pattern. Radiation: a wavelength of 1.5418 Å. Structure: a PBE-relaxed structure.
Intensities are scaled so that the largest is 100.

The 10 most intense peaks (2θ = 10–80°), in order of falling intensity:
2theta, d (Å), I/Imax
44.3, 2.047, 100
37.5, 2.401, 84
39.3, 2.293, 70
62.3, 1.490, 53
34.3, 2.614, 42
22.7, 3.915, 37
32.3, 2.770, 24
67.6, 1.386, 23
21.7, 4.092, 23
68.8, 1.364, 22

Crystal structure
```
DyVFe
1.0
0.0000 3.9150 4.8049
2.7704 0.0000 4.8049
2.7704 3.9150 0.0000
Dy V Fe
2 2 2
direct
0.1861 0.8139 0.1861
0.8139 0.1861 0.8139
0.3070 0.3070 0.6930
0.6930 0.6930 0.3070
0.2500 0.2500 0.2500
0.7500 0.7500 0.7500
```